Structure and calculated powder XRD pattern of NbFeTe2 (a PBE-relaxed structure; λ = 1.5418 Å (Cu Kα)).
No peak broadening, texture or thermal motion is included.

Cell: 8.124 7.528 6.327 Å, 90.00 90.00 90.00°
Space group Pmna (No. 53)
Inequivalent atoms, fractional coordinates:
Nb (0.204, 0.000, 0.000) (multiplicity 4)
Fe (0.000, 0.111, 0.358) (multiplicity 4)
Te (0.000, 0.223, 0.753) (multiplicity 4)
Te (0.250, 0.313, 0.250) (multiplicity 4)

Most intense lines, 2θ = 10–90°, by intensity:
2θ/deg  I_rel
28.68  100
11.76  65
37.13  52
38.01  39
42.34  33
50.23  31
44.81  26
44.61  21
59.39  17
28.21  17